Record 1
Diffraction record for Pm4Pr2DySc. The powder diffraction line list is calculated, not measured: it uses a cell relaxed with GGA-PBE and Cu Kα.
Intensities are scaled so that the largest is 100.

Crystal structure
a = 5.092 Å, b = 5.110 Å, c = 10.181 Å
α = 90.00°, β = 90.06°, γ = 90.00°
Space group P2/m (No. 10)
One atom of each set of equivalent atoms:
Pm 0.000 0.000 0.245
Pm 0.500 0.500 0.246
Pr 0.000 0.500 0.000
Pr 0.500 0.000 0.500
Dy 0.000 0.500 0.500
Sc 0.500 0.000 0.000

Main lines, low angle first (2θ from 15° to 90°):
2θ 30.37, 2.943 Å, intensity 100, hkl 1 1 2; 2θ 35.12, 2.555 Å, intensity 17, hkl 0 2 0; 2θ 35.25, 2.546 Å, intensity 34, hkl 2 0 0; 2θ 50.63, 1.803 Å, intensity 30, hkl 2 2 0; 2θ 50.74, 1.799 Å, intensity 6, hkl 2 0 4; 2θ 60.09, 1.540 Å, intensity 14, hkl 1 3 2; 2θ 60.27, 1.536 Å, intensity 28, hkl 3 1 2; 2θ 63.18, 1.472 Å, intensity 12, hkl 2 2 4; 2θ 74.55, 1.273 Å, intensity 4, hkl 4 0 0; 2θ 82.42, 1.170 Å, intensity 12, hkl 3 3 2; 2θ 84.93, 1.142 Å, intensity 5, hkl 2 4 0; 2θ 85.17, 1.139 Å, intensity 8, hkl 4 2 0


Record 2
Diffraction record for Pm2PrSm5Dy. The powder diffraction line list is calculated, not measured: it uses a cell relaxed with GGA-PBE and Cu Kα.
Intensities are scaled so that the largest is 100.

Crystal structure
a = 8.873 Å, b = 8.873 Å, c = 15.682 Å
α = 90.00°, β = 90.00°, γ = 90.00°
Space group I4/mcm (No. 140)
One atom of each set of equivalent atoms:
Pm 0.117 0.383 0.000
Pr 0.000 0.000 0.250
Sm 0.000 0.000 0.000
Sm 0.208 0.292 0.363
Dy 0.000 0.500 0.250

Main lines, low angle first (2θ from 15° to 90°):
2θ 28.23, 3.161 Å, intensity 49, hkl 2 1 3; 2θ 28.45, 3.137 Å, intensity 51, hkl 2 2 0; 2θ 30.43, 2.938 Å, intensity 100, hkl 2 0 4; 2θ 31.89, 2.806 Å, intensity 13, hkl 3 1 0; 2θ 33.93, 2.642 Å, intensity 12, hkl 3 1 2; 2θ 36.52, 2.461 Å, intensity 12, hkl 2 1 5; 2θ 36.97, 2.431 Å, intensity 17, hkl 3 2 1; 2θ 42.37, 2.133 Å, intensity 21, hkl 4 0 2; 2θ 45.58, 1.990 Å, intensity 10, hkl 4 1 3; 2θ 46.32, 1.960 Å, intensity 13, hkl 0 0 8; 2θ 51.63, 1.770 Å, intensity 21, hkl 4 2 4; 2θ 55.26, 1.662 Å, intensity 13, hkl 2 2 8


Record 3
Diffraction record for PmPr2Sm4Dy2. The powder diffraction line list is calculated, not measured: it uses a cell relaxed with GGA-PBE and Cu Kα.
Intensities are scaled so that the largest is 100.

Crystal structure
a = 6.105 Å, b = 6.727 Å, c = 8.703 Å
α = 80.02°, β = 70.81°, γ = 65.43°
Space group P-1 (No. 2)
One atom of each set of equivalent atoms:
Pm 0.000 0.000 0.000
Pr 0.271 0.673 0.657
Sm 0.263 0.419 0.115
Sm 0.376 0.872 0.242
Dy 0.178 0.231 0.556

Main lines, low angle first (2θ from 15° to 90°):
2θ 29.29, 3.049 Å, intensity 69, hkl 2 1 1; 2θ 30.77, 2.905 Å, intensity 100, hkl 0 2 1; 2θ 31.09, 2.876 Å, intensity 84, hkl 1 0 -2; 2θ 31.28, 2.859 Å, intensity 84, hkl 1 -1 2; 2θ 31.80, 2.814 Å, intensity 76, hkl 1 2 -1; 2θ 31.94, 2.802 Å, intensity 90, hkl 1 1 3; 2θ 32.25, 2.775 Å, intensity 25, hkl 2 0 1; 2θ 33.37, 2.685 Å, intensity 20, hkl 2 2 1; 2θ 41.95, 2.154 Å, intensity 25, hkl 2 -1 0; 2θ 44.03, 2.056 Å, intensity 22, hkl 2 3 2; 2θ 47.30, 1.922 Å, intensity 28, hkl 0 1 -4; 2θ 55.85, 1.646 Å, intensity 31, hkl 1 3 4